For K2RbLi2ReO6, a DFT-relaxed cell (PBE, OQMD) gives the calculated powder diffractogram in this record (Cu Kα (weighted mean of Kα1 and Kα2)).
No peak broadening, texture or thermal motion is included.

Cell and atoms:
```
K2RbLi2ReO6
1.0
2.8087 -4.7810 0.0000
2.8087 4.7810 0.0000
-1.6255 0.0000 5.9851
K Rb Li Re O
2 1 2 1 6
direct
0.1775 0.8225 0.0000 K
0.8225 0.1775 0.0000 K
0.5000 0.5000 0.0000 Rb
0.3183 0.6817 0.5000 Li
0.6817 0.3183 0.5000 Li
0.0000 0.0000 0.5000 Re
0.0550 0.3457 0.6729 O
0.2129 0.2129 0.3071 O
0.3457 0.0550 0.6729 O
0.6543 0.9450 0.3271 O
0.7871 0.7871 0.6929 O
0.9450 0.6543 0.3271 O
```

The 6 most intense peaks (2θ = 10–80°), sorted by position:
2θ/deg	d [Å]	I (rel.)
18.6	4.781	605
18.8	4.716	511
21.2	4.199	1000
26.6	3.351	536
34.0	2.633	378
37.8	2.380	727


For K2Li2Tc, a DFT-relaxed cell (PBE, OQMD) gives the calculated powder diffractogram in this record (Cu Kα (weighted mean of Kα1 and Kα2)).
No peak broadening, texture or thermal motion is included.

Cell and atoms:
```
K2Li2Tc
1.0
0.0000 7.8028 3.2288
5.6511 0.0000 3.2288
5.6511 7.8028 0.0000
K Li Tc
4 4 2
direct
0.3477 0.6523 0.4308 K
0.6523 0.3477 0.5692 K
0.6808 0.8192 0.5977 K
0.8192 0.6808 0.9023 K
0.1072 0.3876 0.0331 Li
0.2169 0.7779 0.1428 Li
0.3876 0.1072 0.4721 Li
0.7779 0.2169 0.8624 Li
0.0181 0.0181 0.9819 Tc
0.2681 0.2681 0.2319 Tc
```

The 6 most intense peaks (2θ = 10–80°), sorted by position:
2θ/deg	d [Å]	I (rel.)
19.4	4.577	1000
23.3	3.813	987
30.0	2.983	342
31.9	2.803	787
32.5	2.759	382
32.8	2.727	759


For KLuMgSe3, a DFT-relaxed cell (PBE, OQMD) gives the calculated powder diffractogram in this record (Cu Kα (weighted mean of Kα1 and Kα2)).
No peak broadening, texture or thermal motion is included.

Cell and atoms:
```
KLuMgSe3
1.0
2.0856 -7.5109 0.0000
2.0856 7.5109 0.0000
0.0000 0.0000 10.9878
K Lu Mg Se
2 2 2 6
direct
0.2470 0.7530 0.7500 K
0.7530 0.2470 0.2500 K
0.5000 0.5000 0.0000 Lu
0.5000 0.5000 0.5000 Lu
0.0342 0.9658 0.2500 Mg
0.9658 0.0342 0.7500 Mg
0.1225 0.8775 0.0543 Se
0.1225 0.8775 0.4457 Se
0.4334 0.5666 0.2500 Se
0.5666 0.4334 0.7500 Se
0.8775 0.1225 0.5543 Se
0.8775 0.1225 0.9457 Se
```

The 6 most intense peaks (2θ = 10–80°), sorted by position:
2θ/deg	d [Å]	I (rel.)
11.8	7.511	1000
27.8	3.205	498
29.0	3.077	325
32.3	2.768	512
40.5	2.228	461
43.4	2.086	354


For KLuO3, a DFT-relaxed cell (PBE, OQMD) gives the calculated powder diffractogram in this record (Cu Kα (weighted mean of Kα1 and Kα2)).
No peak broadening, texture or thermal motion is included.

Cell and atoms:
```
KLuO3
1.0
5.7732 0.0000 0.0000
0.0000 10.3571 0.0000
0.0000 0.0000 5.7561
K Lu O
4 4 12
direct
0.0000 0.0000 0.0000 K
0.0000 0.5000 0.0000 K
0.5000 0.0000 0.5000 K
0.5000 0.5000 0.5000 K
0.0201 0.2500 0.4597 Lu
0.4799 0.7500 0.9597 Lu
0.5201 0.2500 0.0403 Lu
0.9799 0.7500 0.5403 Lu
0.2169 0.7500 0.2393 O
0.2377 0.6422 0.7393 O
0.2377 0.8578 0.7393 O
0.2623 0.1422 0.2393 O
0.2623 0.3578 0.2393 O
0.2831 0.2500 0.7393 O
0.7169 0.7500 0.2607 O
0.7377 0.6422 0.7607 O
0.7377 0.8578 0.7607 O
0.7623 0.1422 0.2607 O
0.7623 0.3578 0.2607 O
0.7831 0.2500 0.7607 O
```

The 6 most intense peaks (2θ = 10–80°), sorted by position:
2θ/deg	d [Å]	I (rel.)
17.1	5.179	452
21.8	4.076	320
27.9	3.203	1000
31.0	2.883	198
44.5	2.038	173
47.2	1.926	246


For K3LuP2O8, a DFT-relaxed cell (PBE, OQMD) gives the calculated powder diffractogram in this record (Cu Kα (weighted mean of Kα1 and Kα2)).
No peak broadening, texture or thermal motion is included.

Cell and atoms:
```
K3LuP2O8
1.0
9.5855 0.0000 0.0000
-4.7927 8.3013 0.0000
0.0000 0.0000 7.5899
K Lu P O
9 3 6 24
direct
0.0000 0.0000 0.0000 K
0.0043 0.3368 0.2577 K
0.3333 0.6667 0.0070 K
0.3325 0.9957 0.2577 K
0.3368 0.3325 0.7423 K
0.6632 0.6675 0.2577 K
0.6675 0.0043 0.7423 K
0.6667 0.3333 0.9930 K
0.9957 0.6632 0.7423 K
0.0000 0.0000 0.5000 Lu
0.3333 0.6667 0.5333 Lu
0.6667 0.3333 0.4667 Lu
0.0116 0.6716 0.2630 P
0.3283 0.3399 0.2630 P
0.3399 0.0116 0.7370 P
0.6601 0.9884 0.2630 P
0.6716 0.6601 0.7370 P
0.9884 0.3283 0.7370 P
0.0079 0.1852 0.6699 O
0.0680 0.6996 0.0725 O
0.1410 0.6618 0.3800 O
0.1523 0.4866 0.7113 O
0.1773 0.9921 0.6699 O
0.1852 0.1773 0.3301 O
0.3004 0.3683 0.0725 O
0.3343 0.8477 0.7113 O
0.3382 0.4792 0.3800 O
0.3683 0.0680 0.9275 O
0.4792 0.1410 0.6200 O
0.4866 0.3343 0.2887 O
0.5134 0.6657 0.7113 O
0.5208 0.8590 0.3800 O
0.6317 0.9320 0.0725 O
0.6618 0.5208 0.6200 O
0.6657 0.1523 0.2887 O
0.6996 0.6317 0.9275 O
0.8148 0.8227 0.6699 O
0.8227 0.0079 0.3301 O
0.8477 0.5134 0.2887 O
0.8590 0.3382 0.6200 O
0.9320 0.3004 0.9275 O
0.9921 0.8148 0.3301 O
```

The 6 most intense peaks (2θ = 10–80°), sorted by position:
2θ/deg	d [Å]	I (rel.)
11.7	7.590	531
18.5	4.793	379
21.9	4.052	627
30.0	2.975	1000
32.4	2.767	716
44.7	2.026	412


For KLuSO, a DFT-relaxed cell (PBE, OQMD) gives the calculated powder diffractogram in this record (Cu Kα (weighted mean of Kα1 and Kα2)).
No peak broadening, texture or thermal motion is included.

Cell and atoms:
```
KLuSO
1.0
4.2771 0.0000 0.0000
0.0000 7.9504 0.0000
0.0000 0.0000 6.3356
K Lu S O
2 2 2 2
direct
0.0000 0.1948 0.0000 K
0.0000 0.8052 0.5000 K
0.5000 0.3740 0.4323 Lu
0.5000 0.6260 0.9323 Lu
0.0000 0.2030 0.5101 S
0.0000 0.7970 0.0101 S
0.5000 0.4114 0.1113 O
0.5000 0.5886 0.6113 O
```

The 6 most intense peaks (2θ = 10–80°), sorted by position:
2θ/deg	d [Å]	I (rel.)
11.1	7.950	1000
17.9	4.955	723
23.6	3.767	772
26.5	3.367	674
27.6	3.238	640
33.9	2.646	627


For KLuSeO, a DFT-relaxed cell (PBE, OQMD) gives the calculated powder diffractogram in this record (Cu Kα (weighted mean of Kα1 and Kα2)).
No peak broadening, texture or thermal motion is included.

Cell and atoms:
```
KLuSeO
1.0
7.7624 0.0000 0.0000
0.0000 7.2299 0.0000
-1.0131 0.0000 6.2573
K Lu Se O
4 4 4 4
direct
0.0934 0.2099 0.4802 K
0.0934 0.2901 0.9802 K
0.9066 0.7099 0.0198 K
0.9066 0.7901 0.5198 K
0.4751 0.6267 0.7779 Lu
0.4751 0.8733 0.2779 Lu
0.5249 0.1267 0.7221 Lu
0.5249 0.3733 0.2221 Lu
0.2442 0.5906 0.3685 Se
0.2442 0.9094 0.8685 Se
0.7558 0.0906 0.1315 Se
0.7558 0.4094 0.6315 Se
0.4109 0.1489 0.3887 O
0.4109 0.3511 0.8887 O
0.5891 0.6489 0.1113 O
0.5891 0.8511 0.6113 O
```

The 6 most intense peaks (2θ = 10–80°), sorted by position:
2θ/deg	d [Å]	I (rel.)
11.5	7.663	1000
28.5	3.130	213
30.0	2.982	516
32.6	2.747	352
35.6	2.525	233
38.6	2.334	272


For KLuSeO, a DFT-relaxed cell (PBE, OQMD) gives the calculated powder diffractogram in this record (Cu Kα (weighted mean of Kα1 and Kα2)).
No peak broadening, texture or thermal motion is included.

Cell and atoms:
```
KLuSeO
1.0
4.4216 0.0000 0.0000
0.0000 8.1466 0.0000
0.0000 0.0000 6.4803
K Lu Se O
2 2 2 2
direct
0.0000 0.2029 0.0000 K
0.0000 0.7971 0.5000 K
0.5000 0.3818 0.4217 Lu
0.5000 0.6182 0.9217 Lu
0.0000 0.2027 0.5075 Se
0.0000 0.7973 0.0075 Se
0.5000 0.4148 0.1069 O
0.5000 0.5852 0.6069 O
```

The 6 most intense peaks (2θ = 10–80°), sorted by position:
2θ/deg	d [Å]	I (rel.)
10.9	8.147	779
17.5	5.071	1000
22.9	3.886	827
25.8	3.449	433
27.5	3.240	518
32.9	2.719	702


For K3LuSi2O7, a DFT-relaxed cell (PBE, OQMD) gives the calculated powder diffractogram in this record (Cu Kα (weighted mean of Kα1 and Kα2)).
No peak broadening, texture or thermal motion is included.

Cell and atoms:
```
K3LuSi2O7
1.0
5.7008 0.0000 0.0000
-2.8504 4.9370 0.0000
0.0000 0.0000 13.9186
K Lu Si O
6 2 4 14
direct
0.0000 0.0000 0.2500 K
0.0000 0.0000 0.7500 K
0.3333 0.6667 0.0921 K
0.3333 0.6667 0.4079 K
0.6667 0.3333 0.5921 K
0.6667 0.3333 0.9079 K
0.0000 0.0000 0.0000 Lu
0.0000 0.0000 0.5000 Lu
0.3333 0.6667 0.6312 Si
0.3333 0.6667 0.8688 Si
0.6667 0.3333 0.1312 Si
0.6667 0.3333 0.3688 Si
0.1765 0.3529 0.5950 O
0.1765 0.3529 0.9050 O
0.1765 0.8235 0.5950 O
0.1765 0.8235 0.9050 O
0.3333 0.6667 0.7500 O
0.3529 0.1765 0.0950 O
0.3529 0.1765 0.4050 O
0.6471 0.8235 0.5950 O
0.6471 0.8235 0.9050 O
0.6667 0.3333 0.2500 O
0.8235 0.1765 0.0950 O
0.8235 0.1765 0.4050 O
0.8235 0.6471 0.0950 O
0.8235 0.6471 0.4050 O
```

The 6 most intense peaks (2θ = 10–80°), sorted by position:
2θ/deg	d [Å]	I (rel.)
12.7	6.959	379
18.0	4.937	326
22.1	4.027	325
31.4	2.847	1000
45.0	2.013	258
55.9	1.645	268


For KLuPdSe3, a DFT-relaxed cell (PBE, OQMD) gives the calculated powder diffractogram in this record (Cu Kα (weighted mean of Kα1 and Kα2)).
No peak broadening, texture or thermal motion is included.

Cell and atoms:
```
KLuPdSe3
1.0
8.8373 0.0000 0.0000
0.0000 4.1078 0.0000
-3.1569 0.0000 9.2534
K Lu Pd Se
2 2 2 6
direct
0.2102 0.2500 0.2414 K
0.7898 0.7500 0.7586 K
0.3255 0.7500 0.8567 Lu
0.6745 0.2500 0.1433 Lu
0.0899 0.2500 0.5838 Pd
0.9101 0.7500 0.4162 Pd
0.1066 0.2500 0.8542 Se
0.2254 0.7500 0.5446 Se
0.4578 0.7500 0.1558 Se
0.5422 0.2500 0.8442 Se
0.7746 0.2500 0.4554 Se
0.8934 0.7500 0.1458 Se
```

The 6 most intense peaks (2θ = 10–80°), sorted by position:
2θ/deg	d [Å]	I (rel.)
11.8	7.531	1000
28.9	3.084	188
29.8	2.996	277
30.5	2.931	302
35.2	2.551	145
44.1	2.055	342


For KLu5S8, a DFT-relaxed cell (PBE, OQMD) gives the calculated powder diffractogram in this record (Cu Kα (weighted mean of Kα1 and Kα2)).
No peak broadening, texture or thermal motion is included.

Cell and atoms:
```
KLu5S8
1.0
9.9810 -1.9466 0.0000
9.9810 1.9466 0.0000
-2.4630 0.0000 9.1373
K Lu S
1 5 8
direct
0.0000 0.0000 0.0000 K
0.1546 0.1546 0.4450 Lu
0.2039 0.2039 0.8387 Lu
0.5000 0.5000 0.5000 Lu
0.7961 0.7961 0.1613 Lu
0.8454 0.8454 0.5550 Lu
0.0794 0.0794 0.6429 S
0.2705 0.2705 0.3563 S
0.3311 0.3311 0.0105 S
0.4216 0.4216 0.6956 S
0.5784 0.5784 0.3044 S
0.6689 0.6689 0.9895 S
0.7295 0.7295 0.6437 S
0.9206 0.9206 0.3571 S
```

The 6 most intense peaks (2θ = 10–80°), sorted by position:
2θ/deg	d [Å]	I (rel.)
11.5	7.707	570
26.8	3.330	1000
27.2	3.274	566
29.7	3.004	778
37.2	2.415	673
47.2	1.927	680


For KLu5Se8, a DFT-relaxed cell (PBE, OQMD) gives the calculated powder diffractogram in this record (Cu Kα (weighted mean of Kα1 and Kα2)).
No peak broadening, texture or thermal motion is included.

Cell and atoms:
```
KLu5Se8
1.0
10.3852 -2.0253 0.0000
10.3852 2.0253 0.0000
-2.4626 0.0000 9.5538
K Lu Se
1 5 8
direct
0.0000 0.0000 0.0000 K
0.1549 0.1549 0.4556 Lu
0.2033 0.2033 0.8436 Lu
0.5000 0.5000 0.5000 Lu
0.7967 0.7967 0.1564 Lu
0.8451 0.8451 0.5444 Lu
0.0774 0.0774 0.6534 Se
0.2688 0.2688 0.3508 Se
0.3334 0.3334 0.0031 Se
0.4197 0.4197 0.6943 Se
0.5803 0.5803 0.3057 Se
0.6666 0.6666 0.9969 Se
0.7312 0.7312 0.6492 Se
0.9226 0.9226 0.3466 Se
```

The 6 most intense peaks (2θ = 10–80°), sorted by position:
2θ/deg	d [Å]	I (rel.)
11.1	7.994	447
28.5	3.133	1000
33.9	2.648	335
35.7	2.512	569
44.7	2.025	371
45.2	2.005	628